Starting from a GGA+U-relaxed structure, the powder X-ray diffraction pattern of Pm2CrO8 was computed for CuKα.
No peak broadening, texture or thermal motion is included.

Top 10 peaks for 5° ≤ 2θ ≤ 70°, low angle first:
18.24 deg, d 4.864, rel. 39, (0 1 0); 18.78 deg, d 4.725, rel. 100, (1 0 0); 20.58 deg, d 4.316, rel. 28, (1 1 0); 22.57 deg, d 3.939, rel. 41, (1 1 1); 23.52 deg, d 3.783, rel. 33, (1 0 -1); 29.21 deg, d 3.057, rel. 54, (0 1 -1); 30.17 deg, d 2.962, rel. 73, (0 1 2); 31.85 deg, d 2.810, rel. 33, (1 2 1); 43.35 deg, d 2.087, rel. 32, (2 0 1); 47.54 deg, d 1.913, rel. 33, (-2 1 1)

Cell and atoms:
```
Pm2CrO8
1.0
5.125 0.000 0.000
2.155 5.345 0.000
0.359 2.488 5.462
Pm Cr O
2 1 8
Cartesian
1.113 1.192 1.018
6.526 6.641 4.444
1.257 3.917 2.731
1.855 3.362 1.011
2.477 5.203 2.829
3.957 7.200 4.725
2.421 2.541 3.652
5.218 5.292 1.809
3.682 0.633 0.736
5.162 2.630 2.633
5.784 4.471 4.450
```